Computed XRD peak list
Compound: Dy6GaRh
Radiation: CuKα
Structure: DFT lattice parameters and positions (GGA-PBE)
No peak broadening, texture or thermal motion is included.

a b c (Å): 6.775 11.447 6.664
angles (deg): 90.00 114.01 90.00
Sites, in units of the cell vectors:
Dy (0.238, 0.190, 0.246)
Dy (0.238, 0.810, 0.246)
Dy (0.239, 0.000, 0.762)
Dy (0.261, 0.500, 0.238)
Dy (0.262, 0.310, 0.754)
Dy (0.262, 0.690, 0.754)
Dy (0.738, 0.310, 0.246)
Dy (0.738, 0.690, 0.246)
Dy (0.739, 0.500, 0.762)
Dy (0.761, 0.000, 0.238)
Dy (0.762, 0.190, 0.754)
Dy (0.762, 0.810, 0.754)
Ga (0.000, 0.500, 0.500)
Ga (0.500, 0.000, 0.500)
Rh (0.000, 0.000, 0.000)
Rh (0.500, 0.500, 0.000)

Peak list (10 most intense, 10 to 90 degrees two-theta, sorted by position)
- 28.25 deg, rel. 71
- 28.85 deg, rel. 39
- 29.34 deg, rel. 38
- 31.26 deg, rel. 16
- 31.76 deg, rel. 65
- 33.94 deg, rel. 100
- 46.84 deg, rel. 39
- 47.49 deg, rel. 38
- 49.84 deg, rel. 19
- 54.47 deg, rel. 17